Diffraction record for CrNi3Rh2. The powder diffraction line list is simulated, not measured: it uses a DFT-relaxed cell (PBE, Alexandria) and a wavelength of 1.5418 Å.
Lines closer than 0.1° are merged.

Main lines, by intensity (2θ = 10–90°):
2θ (°), I (rel.)
45.49, 100
45.61, 100
43.58, 72
39.72, 40
46.28, 40
46.53, 39
40.67, 29
73.37, 27

Structure:
```
12
Lattice="4.7206 -1.3205 0.0000 4.7206 1.3205 0.0000 -3.1146 0.0000 11.7109" Properties=species:S:1:pos:R:3 pbc="T T T"
Cr 0.4907 0.0000 3.0908
Cr 5.8360 0.0000 8.6201
Ni -0.9640 0.0000 8.9470
Ni 0.0863 0.0000 6.6695
Ni 1.6506 0.0000 0.8563
Ni 4.6761 0.0000 10.8545
Ni 6.2404 0.0000 5.0414
Ni 7.2907 0.0000 2.7639
Rh 2.5910 0.0000 7.0730
Rh 4.1909 0.0000 1.2184
Rh 2.1358 0.0000 10.4924
Rh 3.7356 0.0000 4.6379
```

***

Diffraction record for Cr4NiRh7. The powder diffraction line list is simulated, not measured: it uses a DFT-relaxed cell (PBE, Alexandria) and a wavelength of 1.5418 Å.
Lines closer than 0.1° are merged.

Main lines, by intensity (2θ = 10–90°):
2θ (°), I (rel.)
43.36, 100
43.42, 45
43.68, 33
43.89, 20
40.61, 20
40.72, 17
43.12, 15
39.06, 15

Structure:
```
12
Lattice="4.8957 0.0000 0.0000 0.4642 4.8845 0.0000 1.7527 -0.1125 6.9178" Properties=species:S:1:pos:R:3 pbc="T T T"
Cr 1.3085 1.6103 1.8613
Cr 3.2049 3.9898 5.0020
Cr 3.9077 0.7822 1.9158
Cr 5.8040 3.1617 5.0565
Ni 2.6799 2.4423 0.0000
Rh 1.8006 1.1167 6.5021
Rh 2.0746 4.0840 2.5998
Rh 2.6286 1.5939 4.0012
Rh 2.4478 0.0000 0.0000
Rh 4.4839 3.1782 2.9166
Rh 5.0380 0.6880 4.3180
Rh 5.3119 3.6553 0.4157
```